The following is a calculated XRD peak list of BaNaPrNbO6. It was derived from a crystal structure in Alexandria, relaxed with PBE, using Cu Kα X-rays.
Lines closer than 0.1° are merged.

Unit cell a=6.1730 b=6.1730 c=6.1730 alpha=60.00 beta=60.00 gamma=60.00
Element x y z (fractional)
Ba1 0.0000 0.0000 0.0000
Na1 0.5000 0.5000 0.5000
Pr1 0.7500 0.7500 0.7500
Nb1 0.2500 0.2500 0.2500
O1 0.0194 0.0194 0.4806
O2 0.0194 0.4806 0.0194
O3 0.0194 0.4806 0.4806
O4 0.4806 0.0194 0.0194
O5 0.4806 0.0194 0.4806
O6 0.4806 0.4806 0.0194

Most intense lines, 5 to 70 degrees two-theta, sorted by position:
| 2θ (°) | intensity |
| --- | --- |
| 17.60 | 21 |
| 20.35 | 13 |
| 28.93 | 100 |
| 34.06 | 14 |
| 41.37 | 34 |
| 45.28 | 7 |
| 46.52 | 5 |
| 51.27 | 40 |
| 59.94 | 21 |
| 67.91 | 18 |